Starting from a structure optimized by DFT (PBE), the powder diffraction line list of Zn2AgPO5 was computed for Cu Kα (λ = 1.5418 Å).

Atomic structure:
```
data_Zn2AgPO5
_space_group_name_H-M_alt 'P -1'
_space_group_IT_number 2
_cell_length_a 5.644
_cell_length_b 5.845
_cell_length_c 7.625
_cell_angle_alpha 108.39
_cell_angle_beta 97.99
_cell_angle_gamma 94.53
loop_
_space_group_symop_operation_xyz
'x,y,z'
'-x,-y,-z'
loop_
_atom_site_label
_atom_site_type_symbol
_atom_site_fract_x
_atom_site_fract_y
_atom_site_fract_z
Zn1 Zn 0.109 0.127 0.185
Zn2 Zn 0.336 0.133 0.740
Ag1 Ag 0.382 0.676 0.872
P1 P 0.264 0.694 0.359
O1 O 0.083 0.468 0.250
O2 O 0.194 0.820 0.550
O3 O 0.226 0.050 0.936
O4 O 0.277 0.875 0.244
O5 O 0.466 0.365 0.624
```

Main lines, by angle (2θ = 10–90°):
- d = 7.126 Å, I = 72.6, (0 0 1)
- d = 3.579 Å, I = 46.6, (0 1 -2)
- d = 3.563 Å, I = 63.2, (0 0 2)
- d = 2.891 Å, I = 55.1, (1 -1 2)
- d = 2.748 Å, I = 100.0, (2 0 -1)
- d = 2.650 Å, I = 57.8, (1 -2 1)
- d = 2.621 Å, I = 77.7, (0 1 2)
- d = 2.602 Å, I = 74.3, (1 -2 0)
- d = 2.396 Å, I = 52.4, (2 0 -2)
- d = 2.385 Å, I = 59.1, (1 2 -2)